(1)
EuZn2P2: computed powder X-ray diffraction pattern (copper Kα), based on the PBE geometry in the Materials Project.
No peak broadening, texture or thermal motion is included.

Structure:
```
data_EuZn2P2
_cell_length_a 4.1138
_cell_length_b 4.1138
_cell_length_c 6.8624
_cell_angle_alpha 90.00
_cell_angle_beta 90.00
_cell_angle_gamma 120.00
_space_group_name_H-M_alt 'P -3 m 1'
_space_group_IT_number 164
_space_group_name_Hall '-P 3 2"'
loop_
_atom_site_label
_atom_site_type_symbol
_atom_site_fract_x
_atom_site_fract_y
_atom_site_fract_z
_atom_site_occupancy
Eu1 Eu 0.0000 0.0000 0.0000 1
Zn1 Zn 0.3333 0.6667 0.3627 1
P1 P 0.3333 0.6667 0.7333 1
```

The 10 most intense peaks (10 to 90 degrees two-theta), by angle:
| d (Å) | I (rel.) |
| --- | --- |
| 3.162 | 100 |
| 2.471 | 60 |
| 2.287 | 14 |
| 2.057 | 44 |
| 1.925 | 11 |
| 1.724 | 17 |
| 1.581 | 15 |
| 1.529 | 23 |
| 1.321 | 14 |
| 1.253 | 14 |


(2)
CdGeO3: computed powder X-ray diffraction pattern (copper Kα), based on the PBE geometry in the Materials Project.
No peak broadening, texture or thermal motion is included.

Structure:
```
data_CdGeO3
_cell_length_a 3.7825
_cell_length_b 3.7825
_cell_length_c 3.7825
_cell_angle_alpha 90.00
_cell_angle_beta 90.00
_cell_angle_gamma 90.00
_space_group_name_H-M_alt 'P m -3 m'
_space_group_IT_number 221
_space_group_name_Hall '-P 4 2 3'
loop_
_atom_site_label
_atom_site_type_symbol
_atom_site_fract_x
_atom_site_fract_y
_atom_site_fract_z
_atom_site_occupancy
Cd1 Cd 0.0000 0.0000 0.0000 1
Ge1 Ge 0.5000 0.5000 0.5000 1
O1 O 0.0000 0.5000 0.5000 1
```

The 10 most intense peaks (10 to 90 degrees two-theta), by angle:
| d (Å) | I (rel.) |
| --- | --- |
| 3.782 | 2 |
| 2.675 | 100 |
| 2.184 | 9 |
| 1.891 | 32 |
| 1.692 | 1 |
| 1.544 | 37 |
| 1.337 | 19 |
| 1.196 | 16 |
| 1.140 | 2 |
| 1.092 | 7 |


(3)
Ag2Se: computed powder X-ray diffraction pattern (copper Kα), based on the PBE geometry in the Materials Project.
No peak broadening, texture or thermal motion is included.

Structure:
```
data_Ag2Se
_cell_length_a 4.5822
_cell_length_b 3.9688
_cell_length_c 7.3484
_cell_angle_alpha 90.00
_cell_angle_beta 90.00
_cell_angle_gamma 90.00
_space_group_name_H-M_alt 'P m m a'
_space_group_IT_number 51
loop_
_space_group_symop_operation_xyz
'x,y,z'
'-x,-y,-z'
'-x+1/2,-y,z'
'x+1/2,y,-z'
'x+1/2,-y,-z'
'-x+1/2,y,z'
'-x,y,-z'
'x,-y,z'
loop_
_atom_site_label
_atom_site_type_symbol
_atom_site_fract_x
_atom_site_fract_y
_atom_site_fract_z
_atom_site_occupancy
Ag1 Ag 0.2500 0.0000 0.1029 1
Ag2 Ag 0.2500 0.5000 0.3880 1
Se1 Se 0.2500 0.0000 0.7055 1
```

The 10 most intense peaks (10 to 90 degrees two-theta), by angle:
| d (Å) | I (rel.) |
| --- | --- |
| 3.492 | 53 |
| 2.777 | 16 |
| 2.324 | 100 |
| 2.291 | 33 |
| 2.160 | 38 |
| 1.984 | 24 |
| 1.916 | 19 |
| 1.500 | 16 |
| 1.461 | 21 |
| 1.329 | 16 |